# Zn3PdPt
Theoretical PXRD pattern, Cu Kα. Input: a GGA-PBE-relaxed structure.
Lines closer than 0.1° are merged.

a = 8.015 Å, b = 14.008 Å, c = 5.633 Å
α = 90.00°, β = 90.00°, γ = 90.00°
Space group Cccm (No. 66)
Asymmetric unit:
Zn  0.001  0.183  0.000 [8 per cell]
Zn  0.221  0.406  0.000 [8 per cell]
Zn  0.226  0.408  0.500 [8 per cell]
Pd  0.250  0.250  0.251 [8 per cell]
Pt  0.000  0.000  0.250 [4 per cell]
Pt  0.000  0.500  0.250 [4 per cell]

Peak list (10 most intense, 2θ = 10–90°, in order of falling intensity)
two_theta  I/Imax  hkl
41.2  100  2 2 2
44.9  57  2 6 0
41.1  52  0 4 2
25.6  43  2 2 0
45.3  28  4 0 0
62.8  26  4 4 2
12.6  22  0 2 0
25.4  21  0 4 0
83.8  18  2 6 4
34.0  15  2 4 0

---

# NaAgC2O6
Theoretical PXRD pattern, Cu Kα. Input: a GGA-PBE-relaxed structure.
Lines closer than 0.1° are merged.

a = 4.9821 Å, b = 4.9821 Å, c = 16.9090 Å
α = 90.00°, β = 90.00°, γ = 120.00°
Space group R-3 (No. 148, hexagonal axes)
Asymmetric unit:
Na  0.0000  0.0000  0.0000 [3 per cell]
Ag  0.0000  0.0000  0.5000 [3 per cell]
C  0.0000  0.0000  0.2421 [6 per cell]
O  0.0018  0.7416  0.2433 [18 per cell]

Peak list (10 most intense, 2θ = 10–90°, in order of falling intensity)
two_theta  I/Imax  hkl
29.6  100  1 0 4
15.7  47  0 0 3
21.3  46  1 0 1
23.1  34  0 1 2
48.8  31  1 1 6
39.6  30  1 1 3
36.1  24  1 1 0
47.9  22  0 1 8
43.3  21  2 0 2
57.6  16  1 2 2

---

# Tb2AlF8
Theoretical PXRD pattern, Cu Kα. Input: a GGA-PBE-relaxed structure.
Lines closer than 0.1° are merged.

a = 9.270 Å, b = 7.203 Å, c = 4.627 Å
α = 90.00°, β = 109.18°, γ = 90.00°
Space group C2/m (No. 12)
Asymmetric unit:
Tb  0.170  0.000  0.371 [4 per cell]
Al  0.000  0.500  0.000 [2 per cell]
F  0.089  0.000  0.826 [4 per cell]
F  0.119  0.500  0.770 [4 per cell]
F  0.132  0.323  0.253 [8 per cell]

Peak list (10 most intense, 2θ = 10–90°, in order of falling intensity)
two_theta  I/Imax  hkl
24.7  100  0 2 0
23.6  100  2 0 -1
28.5  89  1 1 1
33.1  57  3 1 0
20.3  49  0 0 1
49.2  42  3 3 0
15.9  41  1 1 0
45.9  39  1 3 1
41.1  31  1 1 -2
34.4  31  2 2 -1

---

# CeTaTc
Theoretical PXRD pattern, Cu Kα. Input: a GGA-PBE-relaxed structure.
Lines closer than 0.1° are merged.

a = 3.179 Å, b = 4.976 Å, c = 14.473 Å
α = 90.00°, β = 90.00°, γ = 90.00°
Space group Cmmm (No. 65)
Asymmetric unit:
Ce  0.000  0.000  0.162 [4 per cell]
Ta  0.000  0.500  0.355 [4 per cell]
Tc  0.000  0.000  0.500 [2 per cell]
Tc  0.000  0.500  0.000 [2 per cell]

Peak list (10 most intense, 2θ = 10–90°, in order of falling intensity)
two_theta  I/Imax  hkl
38.4  100  1 1 3
36.1  32  0 2 0
37.3  22  0 0 6
66.5  20  1 3 3
52.9  16  0 2 6
68.0  10  1 1 9
24.6  9  0 0 4
70.3  9  2 2 0
82.3  9  2 2 6
58.0  9  2 0 0

---

# AcZn12Pd4
Theoretical PXRD pattern, Cu Kα. Input: a GGA-PBE-relaxed structure.
Lines closer than 0.1° are merged.

a = 8.803 Å, b = 8.803 Å, c = 8.803 Å
α = 90.00°, β = 90.00°, γ = 90.00°
Space group Im-3 (No. 204)
Asymmetric unit:
Ac  0.000  0.000  0.000 [2 per cell]
Zn  0.000  0.355  0.158 [24 per cell]
Pd  0.250  0.250  0.250 [8 per cell]

Peak list (10 most intense, 2θ = 10–90°, in order of falling intensity)
two_theta  I/Imax  hkl
32.2  100  3 0 1
38.3  59  3 1 2
50.8  56  4 2 2
28.7  49  2 2 0
53.0  44  4 3 1
46.1  22  4 0 2
67.3  18  6 2 0
72.9  15  6 1 3
24.8  14  2 1 1
74.7  11  4 4 4

---

# CaLa2TlO6
Theoretical PXRD pattern, Cu Kα. Input: a GGA-PBE-relaxed structure.
Lines closer than 0.1° are merged.

a = 5.825 Å, b = 6.053 Å, c = 10.527 Å
α = 90.00°, β = 121.70°, γ = 90.00°
Space group P2_1/c (No. 14)
Asymmetric unit:
Ca  0.000  0.000  0.000 [2 per cell]
La  0.280  0.056  0.755 [4 per cell]
Tl  0.500  0.000  0.500 [2 per cell]
O  0.105  0.073  0.249 [4 per cell]
O  0.293  0.702  0.084 [4 per cell]
O  0.384  0.207  0.078 [4 per cell]

Peak list (10 most intense, 2θ = 10–90°, in order of falling intensity)
two_theta  I/Imax  hkl
29.5  100  1 1 -3
28.8  77  1 1 1
30.7  28  2 0 -2
43.1  26  2 2 -2
17.9  24  1 0 0
17.7  24  0 1 1
40.3  19  0 0 4
52.4  18  2 0 -6
50.7  18  0 2 4
53.0  17  3 1 -1

---

# SmIrS
Theoretical PXRD pattern, Cu Kα. Input: a GGA-PBE-relaxed structure.
Lines closer than 0.1° are merged.

a = 4.247 Å, b = 5.566 Å, c = 5.699 Å
α = 90.00°, β = 90.00°, γ = 90.00°
Space group Amm2 (No. 38)
Asymmetric unit:
Sm  0.000  0.000  0.000 [2 per cell]
Ir  0.500  0.000  0.385 [2 per cell]
S  0.000  0.000  0.504 [2 per cell]

Peak list (10 most intense, 2θ = 10–90°, in order of falling intensity)
two_theta  I/Imax  hkl
30.8  100  1 1 1
32.2  38  0 2 0
31.4  22  0 0 2
22.3  22  0 1 1
38.0  21  1 0 2
56.5  19  1 3 1
50.6  19  1 2 2
42.6  17  2 0 0
54.3  17  2 2 0
45.6  16  0 2 2

---

# HfNbTl2
Theoretical PXRD pattern, Cu Kα. Input: a GGA-PBE-relaxed structure.
Lines closer than 0.1° are merged.

a = 6.200 Å, b = 7.454 Å, c = 7.493 Å
α = 90.00°, β = 90.00°, γ = 90.00°
Space group I2_12_12_1 (No. 24)
Asymmetric unit:
Hf  0.000  0.250  0.204 [4 per cell]
Nb  0.250  0.455  0.500 [4 per cell]
Tl  0.000  0.250  0.800 [4 per cell]
Tl  0.250  0.053  0.500 [4 per cell]

Peak list (10 most intense, 2θ = 10–90°, in order of falling intensity)
two_theta  I/Imax  hkl
37.7  100  2 2 0
33.9  54  0 2 2
38.0  20  0 1 3
60.4  20  2 3 3
38.2  16  0 3 1
33.5  15  2 1 1
70.4  13  4 2 2
63.3  12  2 4 2
71.0  9  2 1 5
63.1  8  2 2 4

---

# Zn5Cu4Au4
Theoretical PXRD pattern, Cu Kα. Input: a GGA-PBE-relaxed structure.
Lines closer than 0.1° are merged.

a = 11.008 Å, b = 11.008 Å, c = 3.372 Å
α = 90.00°, β = 90.00°, γ = 90.00°
Space group I4/m (No. 87)
Asymmetric unit:
Zn  0.000  0.000  0.000 [2 per cell]
Zn  0.111  0.235  0.500 [8 per cell]
Cu  0.083  0.588  0.500 [8 per cell]
Au  0.082  0.778  0.000 [8 per cell]

Peak list (10 most intense, 2θ = 10–90°, in order of falling intensity)
two_theta  I/Imax  hkl
39.8  100  2 3 1
25.6  31  1 3 0
36.5  28  4 2 0
43.2  27  4 1 1
27.7  24  1 0 1
79.7  23  8 3 1
32.2  21  1 2 1
41.8  20  5 1 0
49.7  18  6 0 0
54.4  14  0 0 2

---

# Na3Pt5
Theoretical PXRD pattern, Cu Kα. Input: a GGA-PBE-relaxed structure.
Lines closer than 0.1° are merged.

a = 2.782 Å, b = 9.687 Å, c = 4.921 Å
α = 90.00°, β = 90.00°, γ = 90.00°
Space group Pmm2 (No. 25)
Asymmetric unit:
Na  0.000  0.000  0.000 [1 per cell]
Na  0.000  0.500  0.332 [1 per cell]
Na  0.500  0.500  0.828 [1 per cell]
Pt  0.000  0.239  0.658 [2 per cell]
Pt  0.500  0.000  0.496 [1 per cell]
Pt  0.500  0.249  0.154 [2 per cell]

Peak list (10 most intense, 2θ = 10–90°, in order of falling intensity)
two_theta  I/Imax  hkl
41.7  100  1 2 1
37.1  77  0 4 0
18.3  58  0 2 0
41.2  50  0 2 2
53.5  23  1 4 1
70.0  21  1 6 1
78.3  20  1 4 3
36.5  19  0 0 2
66.1  16  1 0 3
82.0  14  2 2 2

---

# CsSr4Bi4
Theoretical PXRD pattern, Cu Kα. Input: a GGA-PBE-relaxed structure.
Lines closer than 0.1° are merged.

a = 11.310 Å, b = 11.310 Å, c = 6.741 Å
α = 90.00°, β = 90.00°, γ = 90.00°
Space group P4_2/n (No. 86, origin choice 2)
Asymmetric unit:
Cs  0.250  0.250  0.250 [2 per cell]
Sr  0.106  0.623  0.149 [8 per cell]
Bi  0.074  0.587  0.651 [8 per cell]

Peak list (10 most intense, 2θ = 10–90°, in order of falling intensity)
two_theta  I/Imax  hkl
24.9  100  1 3 0
35.7  83  3 0 2
27.6  53  1 0 2
22.0  47  1 2 1
35.3  38  4 1 1
33.6  37  3 3 0
15.7  33  2 0 0
11.1  27  1 1 0
17.2  27  1 1 1
48.5  27  4 3 2

---

# CaDy3Ag2
Theoretical PXRD pattern, Cu Kα. Input: a GGA-PBE-relaxed structure.
Lines closer than 0.1° are merged.

a = 5.035 Å, b = 9.151 Å, c = 7.217 Å
α = 90.00°, β = 90.00°, γ = 90.00°
Space group Pmc2_1 (No. 26)
Asymmetric unit:
Ca  0.000  0.066  0.000 [2 per cell]
Dy  0.000  0.330  0.629 [2 per cell]
Dy  0.500  0.183  0.328 [2 per cell]
Dy  0.500  0.435  0.956 [2 per cell]
Ag  0.000  0.358  0.222 [2 per cell]
Ag  0.500  0.146  0.733 [2 per cell]

Peak list (10 most intense, 2θ = 10–90°, in order of falling intensity)
two_theta  I/Imax  hkl
34.4  100  1 3 0
32.0  94  1 1 2
29.1  75  1 2 1
35.7  74  2 0 0
30.5  62  1 0 2
38.7  46  0 3 2
53.6  36  2 3 2
42.8  36  1 3 2
58.6  27  1 4 3
31.6  22  0 2 2